# 1
Nd6S4N3Cl: theoretical powder diffractogram (Cu Kα), based on a structure optimized by DFT (PBE).

Crystal structure
```
data_Nd6S4N3Cl
_symmetry_space_group_name_H-M 'P 1'
_symmetry_Int_Tables_number 1
_cell_length_a 11.8220
_cell_length_b 4.0246
_cell_length_c 26.7008
_cell_angle_alpha 90.00
_cell_angle_beta 90.00
_cell_angle_gamma 90.00
loop_
_symmetry_equiv_pos_as_xyz
'x,y,z'
loop_
_atom_site_label
_atom_site_type_symbol
_atom_site_fract_x
_atom_site_fract_y
_atom_site_fract_z
Nd1 Nd 0.0554 0.2500 0.1912
Nd2 Nd 0.0568 0.2500 0.9259
Nd3 Nd 0.0876 0.2500 0.4594
Nd4 Nd 0.1161 0.2500 0.7050
Nd5 Nd 0.2323 0.7500 0.8310
Nd6 Nd 0.2342 0.7500 0.5652
Nd7 Nd 0.2658 0.2500 0.0652
Nd8 Nd 0.2677 0.2500 0.3310
Nd9 Nd 0.3839 0.7500 0.2050
Nd10 Nd 0.4124 0.7500 0.9594
Nd11 Nd 0.4432 0.7500 0.4259
Nd12 Nd 0.4446 0.7500 0.6912
Nd13 Nd 0.5554 0.2500 0.3088
Nd14 Nd 0.5568 0.2500 0.5741
Nd15 Nd 0.5876 0.2500 0.0406
Nd16 Nd 0.6161 0.2500 0.7950
Nd17 Nd 0.7323 0.7500 0.6690
Nd18 Nd 0.7342 0.7500 0.9348
Nd19 Nd 0.7658 0.2500 0.4348
Nd20 Nd 0.7677 0.2500 0.1690
Nd21 Nd 0.8839 0.7500 0.2950
Nd22 Nd 0.9124 0.7500 0.5406
Nd23 Nd 0.9432 0.7500 0.0741
Nd24 Nd 0.9446 0.7500 0.8088
S1 S 0.0458 0.7500 0.6341
S2 S 0.1456 0.7500 0.0074
S3 S 0.1826 0.7500 0.1414
S4 S 0.2157 0.7500 0.3965
S5 S 0.2843 0.2500 0.8965
S6 S 0.3174 0.2500 0.6414
S7 S 0.3544 0.2500 0.5074
S8 S 0.4542 0.2500 0.1341
S9 S 0.5458 0.7500 0.8659
S10 S 0.6456 0.7500 0.4926
S11 S 0.6826 0.7500 0.3586
S12 S 0.7157 0.7500 0.1035
S13 S 0.7843 0.2500 0.6035
S14 S 0.8174 0.2500 0.8586
S15 S 0.8544 0.2500 0.9926
S16 S 0.9542 0.2500 0.3659
N1 N 0.0599 0.7500 0.8761
N2 N 0.0977 0.7500 0.5091
N3 N 0.1110 0.7500 0.7601
N4 N 0.3890 0.2500 0.2601
N5 N 0.4023 0.2500 0.0091
N6 N 0.4401 0.2500 0.3761
N7 N 0.5599 0.7500 0.6239
N8 N 0.5977 0.7500 0.9909
N9 N 0.6110 0.7500 0.7399
N10 N 0.8890 0.2500 0.2399
N11 N 0.9023 0.2500 0.4909
N12 N 0.9401 0.2500 0.1239
Cl1 Cl 0.1315 0.7500 0.2682
Cl2 Cl 0.3685 0.2500 0.7682
Cl3 Cl 0.6315 0.7500 0.2318
Cl4 Cl 0.8685 0.2500 0.7318
```

Largest 6 diffraction maxima, by angle, 10 to 80 degrees two-theta:
2θ = 26.26°, I = 100; 2θ = 26.74°, I = 33; 2θ = 26.95°, I = 95; 2θ = 37.76°, I = 27; 2θ = 45.05°, I = 27; 2θ = 52.90°, I = 29

---

# 2
YMgAg6: theoretical powder diffractogram (Cu Kα), based on a structure optimized by DFT (PBE).

Crystal structure
```
data_YMgAg6
_symmetry_space_group_name_H-M 'P 1'
_symmetry_Int_Tables_number 1
_cell_length_a 9.6293
_cell_length_b 4.1595
_cell_length_c 8.6102
_cell_angle_alpha 90.00
_cell_angle_beta 116.32
_cell_angle_gamma 90.00
loop_
_symmetry_equiv_pos_as_xyz
'x,y,z'
loop_
_atom_site_label
_atom_site_type_symbol
_atom_site_fract_x
_atom_site_fract_y
_atom_site_fract_z
Y1 Y 0.0000 0.0000 0.0000
Y2 Y 0.5000 0.5000 0.0000
Mg1 Mg 0.0000 0.0000 0.5000
Mg2 Mg 0.5000 0.5000 0.5000
Ag1 Ag 0.0012 0.5000 0.7380
Ag2 Ag 0.2451 0.0000 0.8656
Ag3 Ag 0.2487 0.5000 0.6187
Ag4 Ag 0.2513 0.0000 0.3813
Ag5 Ag 0.2549 0.5000 0.1344
Ag6 Ag 0.4988 0.0000 0.2620
Ag7 Ag 0.5012 0.0000 0.7380
Ag8 Ag 0.7451 0.5000 0.8656
Ag9 Ag 0.7487 0.0000 0.6187
Ag10 Ag 0.7513 0.5000 0.3813
Ag11 Ag 0.7549 0.0000 0.1344
Ag12 Ag 0.9988 0.5000 0.2620
```

Largest 6 diffraction maxima, by angle, 10 to 80 degrees two-theta:
2θ = 36.50°, I = 100; 2θ = 36.60°, I = 100; 2θ = 41.87°, I = 34; 2θ = 41.97°, I = 32; 2θ = 43.52°, I = 30; 2θ = 62.01°, I = 39

---

# 3
YbFe5P3: theoretical powder diffractogram (Cu Kα), based on a structure optimized by DFT (PBE).

Crystal structure
```
data_YbFe5P3
_symmetry_space_group_name_H-M 'P 1'
_symmetry_Int_Tables_number 1
_cell_length_a 11.8482
_cell_length_b 3.6365
_cell_length_c 10.3123
_cell_angle_alpha 90.00
_cell_angle_beta 90.00
_cell_angle_gamma 90.00
loop_
_symmetry_equiv_pos_as_xyz
'x,y,z'
loop_
_atom_site_label
_atom_site_type_symbol
_atom_site_fract_x
_atom_site_fract_y
_atom_site_fract_z
Yb1 Yb 0.2053 0.2500 0.0821
Yb2 Yb 0.2947 0.7500 0.5821
Yb3 Yb 0.7053 0.2500 0.4179
Yb4 Yb 0.7947 0.7500 0.9179
Fe1 Fe 0.0072 0.7500 0.0940
Fe2 Fe 0.0121 0.7500 0.7083
Fe3 Fe 0.0668 0.7500 0.4622
Fe4 Fe 0.1779 0.2500 0.7823
Fe5 Fe 0.2019 0.2500 0.3741
Fe6 Fe 0.2981 0.7500 0.8741
Fe7 Fe 0.3221 0.7500 0.2823
Fe8 Fe 0.4332 0.2500 0.9622
Fe9 Fe 0.4879 0.2500 0.2083
Fe10 Fe 0.4928 0.2500 0.5940
Fe11 Fe 0.5072 0.7500 0.4060
Fe12 Fe 0.5121 0.7500 0.7917
Fe13 Fe 0.5668 0.7500 0.0378
Fe14 Fe 0.6779 0.2500 0.7177
Fe15 Fe 0.7019 0.2500 0.1259
Fe16 Fe 0.7981 0.7500 0.6259
Fe17 Fe 0.8221 0.7500 0.2177
Fe18 Fe 0.9332 0.2500 0.5378
Fe19 Fe 0.9879 0.2500 0.2917
Fe20 Fe 0.9928 0.2500 0.9060
P1 P 0.1039 0.7500 0.9014
P2 P 0.1133 0.2500 0.5774
P3 P 0.1260 0.7500 0.2640
P4 P 0.3740 0.2500 0.7640
P5 P 0.3867 0.7500 0.0774
P6 P 0.3961 0.2500 0.4014
P7 P 0.6039 0.7500 0.5986
P8 P 0.6133 0.2500 0.9226
P9 P 0.6260 0.7500 0.2360
P10 P 0.8740 0.2500 0.7360
P11 P 0.8867 0.7500 0.4226
P12 P 0.8961 0.2500 0.0986
```

Largest 6 diffraction maxima, by angle, 10 to 80 degrees two-theta:
2θ = 27.07°, I = 17; 2θ = 37.89°, I = 13; 2θ = 39.17°, I = 100; 2θ = 40.20°, I = 18; 2θ = 50.17°, I = 21; 2θ = 53.51°, I = 16

---

# 4
BaCa2In2Sn2: theoretical powder diffractogram (Cu Kα), based on a structure optimized by DFT (PBE).

Crystal structure
```
data_BaCa2In2Sn2
_symmetry_space_group_name_H-M 'P 1'
_symmetry_Int_Tables_number 1
_cell_length_a 9.9382
_cell_length_b 9.9382
_cell_length_c 9.9382
_cell_angle_alpha 31.10
_cell_angle_beta 31.10
_cell_angle_gamma 31.10
loop_
_symmetry_equiv_pos_as_xyz
'x,y,z'
loop_
_atom_site_label
_atom_site_type_symbol
_atom_site_fract_x
_atom_site_fract_y
_atom_site_fract_z
Ba1 Ba 0.0000 0.0000 0.0000
Ca1 Ca 0.1359 0.1359 0.1359
Ca2 Ca 0.8641 0.8641 0.8641
In1 In 0.4331 0.4331 0.4331
In2 In 0.5669 0.5669 0.5669
Sn1 Sn 0.2537 0.2537 0.2537
Sn2 Sn 0.7463 0.7463 0.7463
```

Largest 6 diffraction maxima, by angle, 10 to 80 degrees two-theta:
2θ = 18.78°, I = 20; 2θ = 23.00°, I = 37; 2θ = 29.34°, I = 69; 2θ = 33.63°, I = 100; 2θ = 38.80°, I = 20; 2θ = 45.23°, I = 21

---

# 5
LiCd12Hg7: theoretical powder diffractogram (Cu Kα), based on a structure optimized by DFT (PBE).

Crystal structure
```
data_LiCd12Hg7
_symmetry_space_group_name_H-M 'P 1'
_symmetry_Int_Tables_number 1
_cell_length_a 7.9837
_cell_length_b 8.0663
_cell_length_c 8.7658
_cell_angle_alpha 103.03
_cell_angle_beta 110.21
_cell_angle_gamma 106.47
loop_
_symmetry_equiv_pos_as_xyz
'x,y,z'
loop_
_atom_site_label
_atom_site_type_symbol
_atom_site_fract_x
_atom_site_fract_y
_atom_site_fract_z
Li1 Li 0.0000 0.0000 0.0000
Cd1 Cd 0.0396 0.6392 0.7831
Cd2 Cd 0.2129 0.3697 0.6470
Cd3 Cd 0.2590 0.7164 0.5420
Cd4 Cd 0.3326 0.0754 0.4596
Cd5 Cd 0.3406 0.6002 0.1868
Cd6 Cd 0.4453 0.2974 0.0289
Cd7 Cd 0.5547 0.7026 0.9711
Cd8 Cd 0.6594 0.3998 0.8132
Cd9 Cd 0.6674 0.9246 0.5404
Cd10 Cd 0.7410 0.2836 0.4580
Cd11 Cd 0.7871 0.6303 0.3530
Cd12 Cd 0.9604 0.3608 0.2169
Hg1 Hg 0.9999 0.2826 0.8677
Hg2 Hg 0.0001 0.7174 0.1323
Hg3 Hg 0.1044 0.9778 0.6936
Hg4 Hg 0.3893 0.9680 0.1271
Hg5 Hg 0.5000 0.5000 0.5000
Hg6 Hg 0.6107 0.0320 0.8729
Hg7 Hg 0.8956 0.0222 0.3064
```

Largest 6 diffraction maxima, by angle, 10 to 80 degrees two-theta:
2θ = 31.26°, I = 50; 2θ = 32.86°, I = 50; 2θ = 35.32°, I = 88; 2θ = 35.43°, I = 89; 2θ = 37.39°, I = 100; 2θ = 38.48°, I = 45

---

# 6
DyTmSbSe: theoretical powder diffractogram (Cu Kα), based on a structure optimized by DFT (PBE).

Crystal structure
```
data_DyTmSbSe
_symmetry_space_group_name_H-M 'P 1'
_symmetry_Int_Tables_number 1
_cell_length_a 4.2268
_cell_length_b 4.2268
_cell_length_c 5.9495
_cell_angle_alpha 90.00
_cell_angle_beta 90.00
_cell_angle_gamma 90.00
loop_
_symmetry_equiv_pos_as_xyz
'x,y,z'
loop_
_atom_site_label
_atom_site_type_symbol
_atom_site_fract_x
_atom_site_fract_y
_atom_site_fract_z
Dy1 Dy 0.0000 0.0000 0.0000
Tm1 Tm 0.5000 0.5000 0.5000
Sb1 Sb 0.5000 0.5000 0.0000
Se1 Se 0.0000 0.0000 0.5000
```

Largest 6 diffraction maxima, by angle, 10 to 80 degrees two-theta:
2θ = 29.90°, I = 100; 2θ = 30.04°, I = 49; 2θ = 42.79°, I = 38; 2θ = 42.89°, I = 75; 2θ = 53.16°, I = 40; 2θ = 70.48°, I = 34